Record 1
Structure and calculated X-ray diffraction stick pattern of AlH3 (a structure optimized by DFT (GGA-PBE); CuKα).
Lines closer than 0.1° are merged.

Crystal structure
a = 6.326 Å, b = 6.326 Å, c = 6.476 Å
α = 90.00°, β = 90.00°, γ = 118.85°
Fractional coordinates of all 24 atoms:
Al 0.000 0.000 0.000
Al 0.000 0.000 0.500
Al 0.000 0.500 0.000
Al 0.000 0.500 0.500
Al 0.500 0.000 0.000
Al 0.500 0.000 0.500
H 0.053 0.947 0.750
H 0.094 0.295 0.561
H 0.094 0.295 0.939
H 0.095 0.509 0.250
H 0.286 0.714 0.566
H 0.286 0.714 0.934
H 0.295 0.094 0.061
H 0.295 0.094 0.439
H 0.491 0.905 0.250
H 0.509 0.095 0.750
H 0.705 0.906 0.561
H 0.705 0.906 0.939
H 0.714 0.286 0.066
H 0.714 0.286 0.434
H 0.905 0.491 0.750
H 0.906 0.705 0.061
H 0.906 0.705 0.439
H 0.947 0.053 0.250

Principal peaks in the range 10° ≤ 2θ ≤ 80°, by intensity:
d [Å], two_theta, intensity
2.771, 32.31, 100
5.541, 15.99, 88
3.238, 27.55, 84
2.105, 42.96, 83
2.723, 32.89, 47
5.447, 16.27, 43
2.084, 43.42, 40
1.421, 65.72, 26
1.398, 66.94, 24
2.796, 32.01, 23
1.582, 58.35, 21
3.162, 28.22, 20



Record 2
Structure and calculated X-ray diffraction stick pattern of AlH3 (a structure optimized by DFT (GGA-PBE); CuKα).
Lines closer than 0.1° are merged.

Crystal structure
a = 3.898 Å, b = 3.898 Å, c = 3.898 Å
α = 143.85°, β = 75.65°, γ = 116.12°
Fractional coordinates of all 4 atoms:
Al 0.000 0.000 0.000
H 0.002 0.320 0.682
H 0.297 0.797 0.500
H 0.638 0.320 0.318

Principal peaks in the range 10° ≤ 2θ ≤ 80°, by intensity:
d [Å], two_theta, intensity
3.427, 26.00, 100
3.079, 29.00, 35
1.727, 53.02, 27
2.251, 40.05, 24
2.086, 43.37, 22
1.521, 60.93, 18
1.838, 49.61, 14
1.713, 53.48, 12
1.565, 59.02, 10
2.062, 43.91, 9
1.239, 76.97, 9
1.247, 76.40, 8



Record 3
Structure and calculated X-ray diffraction stick pattern of Hf2AlH2 (a structure optimized by DFT (GGA-PBE); CuKα).
Lines closer than 0.1° are merged.

Crystal structure
a = 5.394 Å, b = 5.382 Å, c = 3.692 Å
α = 70.13°, β = 69.79°, γ = 40.08°
Fractional coordinates of all 5 atoms:
Hf 0.160 0.160 0.840
Hf 0.840 0.840 0.160
Al 0.500 0.500 0.500
H 0.250 0.250 0.250
H 0.750 0.750 0.750

Principal peaks in the range 10° ≤ 2θ ≤ 80°, by intensity:
d [Å], two_theta, intensity
2.393, 37.59, 100
3.438, 25.92, 48
2.623, 34.19, 32
2.599, 34.51, 31
1.846, 49.37, 24
1.466, 63.46, 22
1.457, 63.87, 21
4.713, 18.83, 16
1.348, 69.78, 8
1.344, 69.98, 8
1.571, 58.78, 7
2.356, 38.19, 6



Record 4
Structure and calculated X-ray diffraction stick pattern of Hf4AlH2 (a structure optimized by DFT (GGA-PBE); CuKα).
Lines closer than 0.1° are merged.

Crystal structure
a = 6.864 Å, b = 6.843 Å, c = 8.659 Å
α = 50.93°, β = 50.71°, γ = 78.36°
Fractional coordinates of all 14 atoms:
Hf 0.165 0.290 0.972
Hf 0.278 0.677 0.085
Hf 0.290 0.165 0.573
Hf 0.301 0.699 0.439
Hf 0.677 0.278 0.960
Hf 0.689 0.811 0.551
Hf 0.699 0.301 0.561
Hf 0.811 0.689 0.949
Al 0.114 0.114 0.386
Al 0.864 0.864 0.136
H 0.417 0.559 0.262
H 0.488 0.988 0.691
H 0.559 0.417 0.762
H 0.988 0.488 0.833

Principal peaks in the range 10° ≤ 2θ ≤ 80°, by intensity:
d [Å], two_theta, intensity
2.509, 35.79, 100
2.738, 32.70, 67
2.613, 34.31, 41
2.750, 32.56, 29
3.278, 27.20, 23
2.046, 44.27, 22
3.056, 29.23, 22
3.067, 29.11, 22
2.241, 40.24, 22
2.234, 40.37, 20
1.698, 53.99, 19
1.671, 54.95, 17



Record 5
Structure and calculated X-ray diffraction stick pattern of Al2HgH6 (a structure optimized by DFT (GGA-PBE); CuKα).
Lines closer than 0.1° are merged.

Crystal structure
a = 4.770 Å, b = 4.770 Å, c = 4.770 Å
α = 60.00°, β = 60.00°, γ = 60.00°
Fractional coordinates of all 9 atoms:
Al 0.250 0.250 0.250
Al 0.750 0.750 0.750
Hg 0.000 0.000 0.000
H 0.348 0.348 0.652
H 0.348 0.652 0.348
H 0.348 0.652 0.652
H 0.652 0.348 0.348
H 0.652 0.348 0.652
H 0.652 0.652 0.348

Principal peaks in the range 10° ≤ 2θ ≤ 80°, by intensity:
d [Å], two_theta, intensity
3.895, 22.83, 100
2.385, 37.72, 74
2.034, 44.55, 57
3.373, 26.42, 32
1.377, 68.09, 26
1.548, 59.75, 25
1.298, 72.86, 18
1.686, 54.40, 13
1.508, 61.47, 12
1.947, 46.64, 9



Record 6
Structure and calculated X-ray diffraction stick pattern of Zr2AlHIr6 (a structure optimized by DFT (GGA-PBE); CuKα).
Lines closer than 0.1° are merged.

Crystal structure
a = 5.990 Å, b = 5.990 Å, c = 5.990 Å
α = 60.00°, β = 60.00°, γ = 60.00°
Fractional coordinates of all 10 atoms:
Zr 0.250 0.250 0.250
Zr 0.750 0.750 0.750
Al 0.000 0.000 0.000
H 0.500 0.500 0.500
Ir 0.271 0.271 0.729
Ir 0.271 0.729 0.271
Ir 0.271 0.729 0.729
Ir 0.729 0.271 0.271
Ir 0.729 0.271 0.729
Ir 0.729 0.729 0.271

Principal peaks in the range 10° ≤ 2θ ≤ 80°, by intensity:
d [Å], two_theta, intensity
2.446, 36.75, 100
2.118, 42.69, 53
1.277, 74.26, 33
1.498, 61.97, 33
4.236, 20.97, 10
1.223, 78.17, 10
1.630, 56.44, 9
1.944, 46.74, 7
4.891, 18.14, 5
1.894, 48.03, 3
2.995, 29.83, 3
1.729, 52.95, 3